No. 1
For CaCr4O6, a structure optimized by DFT (GGA+U) gives the calculated X-ray powder pattern in this record (λ = 1.5418 Å (Cu Kα)).
Peak positions follow from Bragg's law for the DFT cell and can differ from measured ones.

Atomic structure:
Cell: 5.4026 5.4026 15.1444 Å, 90.00 90.00 146.61°
Atoms (fractional coordinates):
Ca 0.1632 0.8368 0.7500
Ca 0.8368 0.1632 0.2500
Cr 0.0894 0.9106 0.1331
Cr 0.0894 0.9106 0.3669
Cr 0.3631 0.6369 0.0433
Cr 0.3631 0.6369 0.4567
Cr 0.6369 0.3631 0.5433
Cr 0.6369 0.3631 0.9567
Cr 0.9106 0.0894 0.6331
Cr 0.9106 0.0894 0.8669
O 0.0000 0.0000 0.0000
O 0.0000 0.0000 0.5000
O 0.1739 0.8261 0.2500
O 0.2887 0.7113 0.5856
O 0.2887 0.7113 0.9144
O 0.4630 0.5370 0.1570
O 0.4630 0.5370 0.3430
O 0.5370 0.4630 0.6570
O 0.5370 0.4630 0.8430
O 0.7113 0.2887 0.0856
O 0.7113 0.2887 0.4144
O 0.8261 0.1739 0.7500

The 8 most intense peaks (10° ≤ 2θ ≤ 90°), in order of rising 2θ:
d = 7.572 Å, 2θ = 11.69°, I = 33; d = 2.768 Å, 2θ = 32.35°, I = 35; d = 2.614 Å, 2θ = 34.31°, I = 100; d = 2.562 Å, 2θ = 35.02°, I = 36; d = 2.281 Å, 2θ = 39.50°, I = 52; d = 2.207 Å, 2θ = 40.88°, I = 98; d = 2.099 Å, 2θ = 43.10°, I = 52; d = 1.568 Å, 2θ = 58.88°, I = 52



No. 2
For Ba2Li3La3Mo8O32, a structure optimized by DFT (GGA+U) gives the calculated X-ray powder pattern in this record (λ = 1.5418 Å (Cu Kα)).
Peak positions follow from Bragg's law for the DFT cell and can differ from measured ones.

Atomic structure:
Cell: 5.4108 7.1263 19.5086 Å, 89.28 89.65 68.11°
Atoms (fractional coordinates):
Ba 0.0000 0.0000 0.0000
Ba 0.0620 0.8878 0.4728
Li 0.3452 0.3139 0.4778
Li 0.7212 0.5697 0.9928
Li 0.8827 0.2324 0.1977
La 0.1752 0.6497 0.6997
La 0.1794 0.6519 0.2629
La 0.8896 0.2370 0.7714
Mo 0.2942 0.4146 0.0810
Mo 0.3062 0.4179 0.8915
Mo 0.4668 0.0639 0.3280
Mo 0.4767 0.0654 0.6395
Mo 0.5887 0.8206 0.8300
Mo 0.5947 0.8264 0.1401
Mo 0.7598 0.4680 0.5788
Mo 0.7731 0.4676 0.3891
O 0.0306 0.2437 0.4198
O 0.0333 0.6377 0.0502
O 0.0938 0.3409 0.9448
O 0.1346 0.4564 0.8064
O 0.1445 0.2313 0.0921
O 0.2256 0.2840 0.2874
O 0.2646 0.9798 0.6956
O 0.2676 0.0174 0.8409
O 0.3043 0.9053 0.1957
O 0.3134 0.1210 0.5598
O 0.3233 0.6526 0.9139
O 0.3347 0.8658 0.3431
O 0.4236 0.4601 0.1620
O 0.4268 0.6548 0.5960
O 0.4871 0.7711 0.0580
O 0.5046 0.2804 0.6863
O 0.5104 0.5405 0.4537
O 0.5508 0.3458 0.0140
O 0.5609 0.6058 0.7826
O 0.5767 0.1153 0.4104
O 0.6384 0.2304 0.8730
O 0.6396 0.4317 0.3087
O 0.7239 0.0210 0.1264
O 0.7398 0.2350 0.5550
O 0.7518 0.7648 0.9093
O 0.7599 0.9735 0.2751
O 0.7979 0.8685 0.6282
O 0.8008 0.9061 0.7733
O 0.8446 0.6152 0.1846
O 0.9291 0.6512 0.3764
O 0.9324 0.4295 0.6631
O 0.9671 0.5454 0.5236

The 8 most intense peaks (10° ≤ 2θ ≤ 90°), in order of rising 2θ:
d = 3.501 Å, 2θ = 25.44°, I = 100; d = 3.472 Å, 2θ = 25.66°, I = 50; d = 3.379 Å, 2θ = 26.38°, I = 84; d = 3.361 Å, 2θ = 26.52°, I = 50; d = 3.236 Å, 2θ = 27.57°, I = 48; d = 3.087 Å, 2θ = 28.92°, I = 62; d = 2.932 Å, 2θ = 30.49°, I = 56; d = 2.706 Å, 2θ = 33.11°, I = 50